(1)
# K2TlAuCl6
Computed X-ray powder pattern, a wavelength of 1.5418 Å. Input: a crystal structure in Alexandria, relaxed with GGA-PBE.
Kinematic intensities with the Lorentz-polarization factor, no thermal factor.

Crystal structure
```
K2TlAuCl6
1.0
7.038 0.000 0.000
-2.967 6.505 0.000
-3.052 -2.327 6.668
K Tl Au Cl
2 1 1 6
Direct
0.030 0.289 0.277
0.970 0.711 0.723
0.500 0.000 0.500
0.500 0.500 0.000
0.042 0.839 0.333
0.350 0.686 0.124
0.462 0.709 0.676
0.538 0.291 0.324
0.650 0.314 0.876
0.958 0.161 0.667
```

Principal peaks in the range 10° ≤ 2θ ≤ 90°, low angle first:
| d/Å | I (rel.) |
| --- | --- |
| 5.584 | 89 |
| 5.512 | 100 |
| 4.906 | 67 |
| 3.919 | 68 |
| 3.834 | 45 |
| 3.795 | 49 |
| 2.792 | 44 |
| 2.756 | 56 |



(2)
# KVAu2Cl
Computed X-ray powder pattern, a wavelength of 1.5418 Å. Input: a crystal structure in Alexandria, relaxed with GGA-PBE.
Kinematic intensities with the Lorentz-polarization factor, no thermal factor.

Crystal structure
```
KVAu2Cl
1.0
5.286 0.000 0.000
0.000 5.286 0.000
0.000 0.000 4.783
K V Au Cl
1 1 2 1
Direct
0.000 0.000 0.000
0.500 0.500 0.500
0.000 0.500 0.500
0.500 0.000 0.500
0.500 0.500 0.000
```

Principal peaks in the range 10° ≤ 2θ ≤ 90°, low angle first:
| d/Å | I (rel.) |
| --- | --- |
| 4.783 | 60 |
| 3.738 | 35 |
| 2.945 | 100 |
| 2.643 | 57 |
| 2.392 | 22 |
| 2.313 | 40 |
| 1.773 | 34 |
| 1.578 | 31 |



(3)
# LaAuCl3
Computed X-ray powder pattern, a wavelength of 1.5418 Å. Input: a crystal structure in Alexandria, relaxed with GGA-PBE.
Kinematic intensities with the Lorentz-polarization factor, no thermal factor.

Crystal structure
```
LaAuCl3
1.0
5.576 0.000 0.000
0.000 5.576 0.000
0.000 0.000 5.576
La Au Cl
1 1 3
Direct
0.000 0.000 0.000
0.500 0.500 0.500
0.000 0.000 0.500
0.000 0.500 0.000
0.500 0.000 0.000
```

Principal peaks in the range 10° ≤ 2θ ≤ 90°, low angle first:
| d/Å | I (rel.) |
| --- | --- |
| 3.943 | 100 |
| 2.788 | 47 |
| 2.277 | 49 |
| 1.972 | 33 |
| 1.763 | 23 |
| 1.490 | 26 |
| 1.247 | 15 |
| 1.094 | 16 |



(4)
# La4AuCl5
Computed X-ray powder pattern, a wavelength of 1.5418 Å. Input: a crystal structure in Alexandria, relaxed with GGA-PBE.
Kinematic intensities with the Lorentz-polarization factor, no thermal factor.

Crystal structure
```
La4AuCl5
1.0
9.205 -2.053 0.000
9.205 2.053 0.000
-2.223 0.000 8.532
La Au Cl
4 1 5
Direct
0.010 0.010 0.243
0.327 0.327 0.928
0.673 0.673 0.072
0.990 0.990 0.757
0.500 0.500 0.000
0.158 0.158 0.821
0.174 0.174 0.310
0.500 0.500 0.500
0.826 0.826 0.690
0.842 0.842 0.179
```

Principal peaks in the range 10° ≤ 2θ ≤ 90°, low angle first:
| d/Å | I (rel.) |
| --- | --- |
| 8.532 | 100 |
| 3.704 | 20 |
| 3.053 | 18 |
| 3.004 | 85 |
| 2.969 | 39 |
| 2.204 | 16 |
| 2.121 | 27 |
| 2.102 | 30 |



(5)
# La4Au2Cl3
Computed X-ray powder pattern, a wavelength of 1.5418 Å. Input: a crystal structure in Alexandria, relaxed with GGA-PBE.
Kinematic intensities with the Lorentz-polarization factor, no thermal factor.

Crystal structure
```
La4Au2Cl3
1.0
3.769 -2.176 0.000
3.769 2.176 0.000
-0.021 0.000 17.346
La Au Cl
4 2 3
Direct
0.001 0.001 0.304
0.334 0.334 0.099
0.666 0.666 0.901
0.999 0.999 0.696
0.333 0.333 0.799
0.667 0.667 0.201
0.000 0.000 0.000
0.334 0.334 0.396
0.666 0.666 0.604
```

Principal peaks in the range 10° ≤ 2θ ≤ 90°, low angle first:
| d/Å | I (rel.) |
| --- | --- |
| 8.673 | 55 |
| 3.683 | 19 |
| 3.158 | 100 |
| 2.845 | 37 |
| 2.294 | 22 |
| 2.176 | 44 |
| 2.071 | 28 |
| 1.792 | 19 |



(6)
# La3RhAuCl
Computed X-ray powder pattern, a wavelength of 1.5418 Å. Input: a crystal structure in Alexandria, relaxed with GGA-PBE.
Kinematic intensities with the Lorentz-polarization factor, no thermal factor.

Crystal structure
```
La3RhAuCl
1.0
8.302 0.000 0.000
0.000 4.315 0.000
-2.052 0.000 9.554
La Rh Au Cl
6 2 2 2
Direct
0.063 0.250 0.342
0.209 0.250 0.968
0.390 0.750 0.619
0.610 0.250 0.381
0.791 0.750 0.032
0.937 0.750 0.658
0.170 0.250 0.638
0.830 0.750 0.362
0.280 0.750 0.243
0.720 0.250 0.757
0.411 0.750 0.906
0.589 0.250 0.094
```

Principal peaks in the range 10° ≤ 2θ ≤ 90°, low angle first:
| d/Å | I (rel.) |
| --- | --- |
| 3.202 | 18 |
| 3.185 | 20 |
| 3.133 | 17 |
| 2.955 | 100 |
| 2.773 | 26 |
| 2.571 | 23 |
| 2.157 | 25 |
| 1.937 | 18 |



(7)
# La2SbAuCl
Computed X-ray powder pattern, a wavelength of 1.5418 Å. Input: a crystal structure in Alexandria, relaxed with GGA-PBE.
Kinematic intensities with the Lorentz-polarization factor, no thermal factor.

Crystal structure
```
La2SbAuCl
1.0
5.470 0.000 0.000
0.000 5.470 0.000
0.000 0.000 5.144
La Sb Au Cl
2 1 1 1
Direct
0.000 0.500 0.000
0.500 0.000 0.000
0.000 0.000 0.500
0.500 0.500 0.500
0.000 0.000 0.000
```

Principal peaks in the range 10° ≤ 2θ ≤ 90°, low angle first:
| d/Å | I (rel.) |
| --- | --- |
| 3.091 | 100 |
| 2.735 | 46 |
| 2.572 | 19 |
| 1.934 | 17 |
| 1.874 | 30 |
| 1.640 | 32 |
| 1.567 | 14 |
| 1.546 | 16 |



(8)
# Li2AuCl4
Computed X-ray powder pattern, a wavelength of 1.5418 Å. Input: a crystal structure in Alexandria, relaxed with GGA-PBE.
Kinematic intensities with the Lorentz-polarization factor, no thermal factor.

Crystal structure
```
Li2AuCl4
1.0
-3.415 3.415 7.107
3.415 -3.415 7.107
3.415 3.415 -7.107
Li Au Cl
4 2 8
Direct
0.000 0.000 0.000
0.500 0.000 0.000
0.500 0.000 0.500
0.500 0.500 0.500
0.125 0.375 0.750
0.875 0.625 0.250
0.107 0.917 0.756
0.149 0.393 0.310
0.339 0.649 0.256
0.417 0.161 0.810
0.583 0.839 0.190
0.661 0.351 0.744
0.851 0.607 0.690
0.893 0.083 0.244
```

Principal peaks in the range 10° ≤ 2θ ≤ 90°, low angle first:
| d/Å | I (rel.) |
| --- | --- |
| 6.157 | 100 |
| 3.995 | 79 |
| 3.893 | 39 |
| 3.553 | 45 |
| 2.987 | 47 |
| 2.567 | 29 |
| 2.067 | 33 |
| 1.997 | 35 |



(9)
# Li2Au2Cl7
Computed X-ray powder pattern, a wavelength of 1.5418 Å. Input: a crystal structure in Alexandria, relaxed with GGA-PBE.
Kinematic intensities with the Lorentz-polarization factor, no thermal factor.

Crystal structure
```
Li2Au2Cl7
1.0
3.852 -5.794 0.000
3.852 5.794 0.000
-0.900 0.000 7.101
Li Au Cl
2 2 7
Direct
0.165 0.835 0.000
0.835 0.165 0.000
0.218 0.218 0.302
0.782 0.782 0.698
0.024 0.425 0.259
0.094 0.094 0.799
0.425 0.024 0.259
0.500 0.500 0.500
0.575 0.976 0.741
0.906 0.906 0.201
0.976 0.575 0.741
```

Principal peaks in the range 10° ≤ 2θ ≤ 90°, low angle first:
| d/Å | I (rel.) |
| --- | --- |
| 5.794 | 58 |
| 5.015 | 100 |
| 4.516 | 51 |
| 3.821 | 29 |
| 3.552 | 37 |
| 3.251 | 37 |
| 2.262 | 29 |
| 2.138 | 24 |



(10)
# Li2Au3Cl6
Computed X-ray powder pattern, a wavelength of 1.5418 Å. Input: a crystal structure in Alexandria, relaxed with GGA-PBE.
Kinematic intensities with the Lorentz-polarization factor, no thermal factor.

Crystal structure
```
Li2Au3Cl6
1.0
5.614 -3.271 0.000
5.614 3.271 0.000
-3.774 0.000 14.628
Li Au Cl
4 6 12
Direct
0.165 0.665 0.993
0.335 0.835 0.507
0.665 0.165 0.493
0.835 0.335 0.007
0.029 0.971 0.750
0.255 0.471 0.250
0.471 0.255 0.750
0.529 0.745 0.250
0.745 0.529 0.750
0.971 0.029 0.250
0.015 0.879 0.594
0.121 0.985 0.906
0.202 0.377 0.093
0.302 0.482 0.406
0.377 0.202 0.593
0.482 0.302 0.906
0.518 0.698 0.094
0.623 0.798 0.407
0.698 0.518 0.594
0.798 0.623 0.907
0.879 0.015 0.094
0.985 0.121 0.406
```

Principal peaks in the range 10° ≤ 2θ ≤ 90°, low angle first:
| d/Å | I (rel.) |
| --- | --- |
| 7.314 | 100 |
| 3.657 | 17 |
| 3.248 | 16 |
| 3.192 | 41 |
| 3.171 | 79 |
| 2.438 | 21 |
| 2.178 | 22 |
| 1.757 | 17 |



(11)
# Li2AuCl4
Computed X-ray powder pattern, a wavelength of 1.5418 Å. Input: a crystal structure in Alexandria, relaxed with GGA-PBE.
Kinematic intensities with the Lorentz-polarization factor, no thermal factor.

Crystal structure
```
Li2AuCl4
1.0
-3.192 3.192 3.910
3.192 -3.192 3.910
3.192 3.192 -3.910
Li Au Cl
2 1 4
Direct
0.250 0.750 0.500
0.750 0.250 0.500
0.000 0.000 0.000
0.149 0.637 0.000
0.363 0.363 0.512
0.637 0.149 0.000
0.851 0.851 0.488
```

Principal peaks in the range 10° ≤ 2θ ≤ 90°, low angle first:
| d/Å | I (rel.) |
| --- | --- |
| 4.946 | 100 |
| 4.515 | 38 |
| 3.910 | 19 |
| 2.956 | 50 |
| 2.682 | 49 |
| 2.413 | 18 |
| 2.257 | 22 |
| 1.794 | 29 |



(12)
# LiAu4Se4Cl4O12
Computed X-ray powder pattern, a wavelength of 1.5418 Å. Input: a crystal structure in Alexandria, relaxed with GGA-PBE.
Kinematic intensities with the Lorentz-polarization factor, no thermal factor.

Crystal structure
```
LiAu4Se4Cl4O12
1.0
4.524 0.000 0.000
0.828 10.193 0.000
0.534 0.720 11.103
Li Au Se Cl O
1 4 4 4 12
Direct
0.000 0.000 0.000
0.796 0.790 0.149
0.816 0.366 0.842
0.820 0.970 0.512
0.831 0.382 0.340
0.022 0.668 0.422
0.106 0.243 0.590
0.529 0.502 0.086
0.630 0.108 0.243
0.136 0.897 0.662
0.152 0.182 0.875
0.494 0.550 0.810
0.512 0.881 0.981
0.118 0.726 0.278
0.171 0.334 0.454
0.484 0.422 0.229
0.524 0.033 0.381
0.723 0.363 0.022
0.739 0.563 0.405
0.744 0.786 0.471
0.795 0.160 0.561
0.831 0.591 0.100
0.880 0.993 0.174
0.905 0.373 0.661
0.923 0.201 0.275
```

Principal peaks in the range 10° ≤ 2θ ≤ 90°, low angle first:
| d/Å | I (rel.) |
| --- | --- |
| 7.269 | 63 |
| 5.011 | 56 |
| 4.745 | 43 |
| 4.505 | 100 |
| 3.511 | 44 |
| 3.269 | 48 |
| 3.229 | 47 |
| 2.256 | 49 |



(13)
# LiAu4Se4Cl4O12
Computed X-ray powder pattern, a wavelength of 1.5418 Å. Input: a crystal structure in Alexandria, relaxed with GGA-PBE.
Kinematic intensities with the Lorentz-polarization factor, no thermal factor.

Crystal structure
```
LiAu4Se4Cl4O12
1.0
4.664 0.000 0.000
1.104 10.099 0.000
0.669 1.235 10.978
Li Au Se Cl O
1 4 4 4 12
Direct
0.000 0.000 0.000
0.694 0.922 0.784
0.752 0.341 0.586
0.763 0.511 0.947
0.798 0.912 0.288
0.052 0.044 0.519
0.495 0.784 0.067
0.532 0.237 0.869
0.912 0.634 0.670
0.065 0.086 0.209
0.087 0.408 0.439
0.437 0.450 0.103
0.538 0.735 0.354
0.055 0.565 0.809
0.072 0.966 0.664
0.358 0.884 0.943
0.448 0.279 0.719
0.628 0.747 0.711
0.662 0.523 0.644
0.719 0.901 0.111
0.744 0.159 0.524
0.772 0.092 0.869
0.791 0.693 0.002
0.820 0.327 0.892
0.870 0.919 0.464
```

Principal peaks in the range 10° ≤ 2θ ≤ 90°, low angle first:
| d/Å | I (rel.) |
| --- | --- |
| 7.026 | 61 |
| 5.060 | 41 |
| 5.018 | 39 |
| 4.631 | 100 |
| 3.592 | 50 |
| 3.304 | 37 |
| 3.242 | 36 |
| 2.189 | 39 |